The following is a simulated XRD peak list of Li2TaAsO6. It was derived from a PBE-relaxed structure, using λ = 1.5418 Å (Cu Kα).
Peak positions follow from Bragg's law for the DFT cell and can differ from measured ones.

```
data_Li2TaAsO6
_chemical_formula_sum 'Li2 Ta1 As1 O6'
_space_group_name_H-M_alt 'P 1'
_space_group_IT_number 1
_cell_length_a 5.1818
_cell_length_b 5.1818
_cell_length_c 4.5430
_cell_angle_alpha 90.00
_cell_angle_beta 90.00
_cell_angle_gamma 90.00
loop_
_space_group_symop_operation_xyz
'x,y,z'
loop_
_atom_site_label
_atom_site_type_symbol
_atom_site_fract_x
_atom_site_fract_y
_atom_site_fract_z
Li1 Li 0.0000 0.5000 0.0000
Li2 Li 0.5000 0.0000 0.0000
Ta1 Ta 0.0000 0.0000 0.6501
As1 As 0.5000 0.5000 0.6436
O1 O 0.0000 0.0000 0.2554
O2 O 0.2608 0.2608 0.7680
O3 O 0.2608 0.7392 0.7680
O4 O 0.5000 0.5000 0.2754
O5 O 0.7392 0.2608 0.7680
O6 O 0.7392 0.7392 0.7680
```

Largest 10 diffraction maxima, low angle first, 2θ from 10° to 90°:
5.182 Å, 2θ 17.1, rel. 25; 4.543 Å, 2θ 19.5, rel. 82; 3.664 Å, 2θ 24.3, rel. 100; 2.852 Å, 2θ 31.4, rel. 75; 2.591 Å, 2θ 34.6, rel. 28; 2.251 Å, 2θ 40.1, rel. 24; 1.931 Å, 2θ 47.1, rel. 30; 1.832 Å, 2θ 49.8, rel. 23; 1.699 Å, 2θ 54.0, rel. 21; 1.541 Å, 2θ 60.0, rel. 25

***

The following is a simulated XRD peak list of LiTaAsO6. It was derived from a PBE-relaxed structure, using λ = 1.5418 Å (Cu Kα).
Peak positions follow from Bragg's law for the DFT cell and can differ from measured ones.

```
data_LiTaAsO6
_chemical_formula_sum 'Li2 Ta2 As2 O12'
_space_group_name_H-M_alt 'P 1'
_space_group_IT_number 1
_cell_length_a 5.1460
_cell_length_b 5.1460
_cell_length_c 9.1692
_cell_angle_alpha 90.00
_cell_angle_beta 90.00
_cell_angle_gamma 120.00
loop_
_space_group_symop_operation_xyz
'x,y,z'
loop_
_atom_site_label
_atom_site_type_symbol
_atom_site_fract_x
_atom_site_fract_y
_atom_site_fract_z
Li1 Li 0.0000 0.0000 0.0000
Li2 Li 0.0000 0.0000 0.5000
Ta1 Ta 0.3333 0.6667 0.2500
Ta2 Ta 0.6667 0.3333 0.7500
As1 As 0.3333 0.6667 0.7500
As2 As 0.6667 0.3333 0.2500
O1 O 0.0214 0.3766 0.6376
O2 O 0.0214 0.6448 0.8624
O3 O 0.3552 0.3766 0.8624
O4 O 0.3552 0.9786 0.6376
O5 O 0.3766 0.0214 0.1376
O6 O 0.3766 0.3552 0.3624
O7 O 0.6234 0.6448 0.6376
O8 O 0.6234 0.9786 0.8624
O9 O 0.6448 0.0214 0.3624
O10 O 0.6448 0.6234 0.1376
O11 O 0.9786 0.3552 0.1376
O12 O 0.9786 0.6234 0.3624
```

Largest 10 diffraction maxima, low angle first, 2θ from 10° to 90°:
4.585 Å, 2θ 19.4, rel. 100; 4.457 Å, 2θ 19.9, rel. 71; 4.008 Å, 2θ 22.2, rel. 38; 3.196 Å, 2θ 27.9, rel. 63; 2.573 Å, 2θ 34.9, rel. 44; 2.244 Å, 2θ 40.2, rel. 85; 1.712 Å, 2θ 53.5, rel. 51; 1.486 Å, 2θ 62.5, rel. 19; 1.413 Å, 2θ 66.1, rel. 20; 1.314 Å, 2θ 71.9, rel. 17